Entry 1:
Theoretical powder diffraction line list of Pm2PrAg3 for Cu Kα (weighted mean of Kα1 and Kα2), from a crystal structure in Alexandria, relaxed with GGA-PBE.
Intensities are scaled so that the largest is 100.

Crystal structure
```
Pm2PrAg3
1.0
3.7342 0.0000 0.0000
0.0000 3.7342 0.0000
0.0000 0.0000 11.3289
Pm Pr Ag
2 1 3
Cartesian
0.0000 0.0000 1.8680
0.0000 0.0000 9.4609
0.0000 0.0000 5.6645
1.8671 1.8671 0.0000
1.8671 1.8671 3.7035
1.8671 1.8671 7.6254
```

Principal peaks in the range 2θ from 15° to 90°, low angle first:
- 2θ 33.76, I = 100
- 2θ 33.95, I = 49
- 2θ 48.20, I = 9
- 2θ 48.77, I = 18
- 2θ 60.26, I = 18
- 2θ 60.63, I = 36
- 2θ 71.00, I = 11
- 2θ 80.53, I = 8
- 2θ 81.40, I = 8
- 2θ 81.51, I = 8


Entry 2:
Theoretical powder diffraction line list of Na3Si34 for Cu Kα (weighted mean of Kα1 and Kα2), from a crystal structure in Alexandria, relaxed with GGA-PBE.
Intensities are scaled so that the largest is 100.

Crystal structure
```
Na3Si34
1.0
5.2051 3.0052 8.5147
-5.2051 3.0052 8.5147
0.0000 -6.0104 8.5147
Na Si
3 34
Cartesian
0.0000 0.0000 0.0000
0.0000 0.0000 9.5804
0.0000 0.0000 15.9638
-1.2050 -3.0523 7.4161
-3.2459 0.4826 7.4161
-3.2475 -1.8749 10.7649
0.0000 0.0000 3.2022
-3.2785 -1.8929 14.6205
0.0000 0.0000 5.5595
0.0000 -3.7857 10.9237
-3.2785 1.8929 10.9237
1.2050 -3.0523 7.4161
-2.0409 2.5697 7.4161
-2.0406 -1.1781 12.7212
0.0000 -2.3563 12.8230
0.0000 -3.7499 14.7793
-2.0406 1.1781 12.8230
-2.0409 -2.5697 18.1282
-3.2475 1.8749 14.7793
-3.2459 -0.4826 18.1282
3.2459 0.4826 7.4161
3.2475 -1.8749 10.7649
2.0409 2.5697 7.4161
2.0406 -1.1781 12.7212
0.0000 3.7499 10.7649
0.0000 2.3563 12.7212
2.0406 1.1781 12.8230
2.0409 -2.5697 18.1282
-1.2050 3.0524 18.1282
3.2785 -1.8929 14.6206
0.0000 3.7857 14.6206
0.0000 0.0000 19.9848
3.2785 1.8929 10.9237
0.0000 0.0000 22.3420
3.2475 1.8749 14.7793
3.2459 -0.4826 18.1282
1.2050 3.0524 18.1282
```

Principal peaks in the range 2θ from 15° to 90°, low angle first:
- 2θ 19.99, I = 32
- 2θ 20.89, I = 27
- 2θ 24.17, I = 20
- 2θ 29.71, I = 31
- 2θ 31.56, I = 71
- 2θ 34.44, I = 30
- 2θ 36.07, I = 52
- 2θ 50.73, I = 34
- 2θ 52.73, I = 100
- 2θ 53.90, I = 25


Entry 3:
Theoretical powder diffraction line list of CsSrIn6 for Cu Kα (weighted mean of Kα1 and Kα2), from a crystal structure in Alexandria, relaxed with GGA-PBE.
Intensities are scaled so that the largest is 100.

Crystal structure
```
CsSrIn6
1.0
5.0441 0.0000 0.0000
0.0000 7.3831 0.0000
0.0000 0.0000 7.2972
Cs Sr In
1 1 6
Cartesian
0.0000 0.0000 0.0000
2.5220 3.6916 1.5554
0.0000 2.0742 3.4545
0.0000 3.6916 6.3481
0.0000 5.3089 3.4545
2.5220 0.0000 2.9936
2.5220 2.1162 5.2943
2.5220 5.2669 5.2943
```

Principal peaks in the range 2θ from 15° to 90°, low angle first:
- 2θ 24.61, I = 20
- 2θ 27.07, I = 35
- 2θ 27.26, I = 13
- 2θ 30.23, I = 53
- 2θ 32.46, I = 100
- 2θ 32.63, I = 21
- 2θ 35.60, I = 37
- 2θ 39.01, I = 18
- 2θ 45.28, I = 17
- 2θ 61.97, I = 15


Entry 4:
Theoretical powder diffraction line list of Pr6Ni3Sn14 for Cu Kα (weighted mean of Kα1 and Kα2), from a crystal structure in Alexandria, relaxed with GGA-PBE.
Intensities are scaled so that the largest is 100.

Crystal structure
```
Pr6Ni3Sn14
1.0
4.5982 0.0000 0.0000
0.0000 4.6090 0.0000
0.0000 0.0000 27.6455
Pr Ni Sn
6 3 14
Cartesian
0.0000 0.0000 0.0000
0.0000 0.0000 10.2259
0.0000 2.3045 13.7424
0.0000 2.3045 24.0367
2.2991 0.0000 18.8863
2.2991 2.3045 5.1041
2.2991 0.0000 15.3117
2.2991 0.0000 22.4667
2.2991 2.3045 1.5699
0.0000 0.0000 5.1979
0.0000 0.0000 16.3793
0.0000 0.0000 21.3934
0.0000 2.3045 2.6484
0.0000 2.3045 7.7288
0.0000 2.3045 18.8826
2.2991 0.0000 2.6390
2.2991 0.0000 7.7240
2.2991 0.0000 12.7963
2.2991 0.0000 24.9657
2.2991 2.3045 10.9043
2.2991 2.3045 16.3727
2.2991 2.3045 21.3949
2.2991 2.3045 26.7156
```

Principal peaks in the range 2θ from 15° to 90°, low angle first:
- 2θ 31.90, I = 100
- 2θ 32.39, I = 22
- 2θ 39.13, I = 45
- 2θ 51.67, I = 21
- 2θ 56.54, I = 18
- 2θ 57.46, I = 8
- 2θ 64.00, I = 8
- 2θ 66.34, I = 13
- 2θ 66.47, I = 13
- 2θ 66.68, I = 9


Entry 5:
Theoretical powder diffraction line list of Sm3GaPt for Cu Kα (weighted mean of Kα1 and Kα2), from a crystal structure in Alexandria, relaxed with GGA-PBE.
Intensities are scaled so that the largest is 100.

Crystal structure
```
Sm3GaPt
1.0
2.2415 -6.0130 0.0000
2.2415 6.0130 0.0000
0.0000 0.0000 10.4304
Sm Ga Pt
6 2 2
Cartesian
2.2415 4.9375 7.8228
2.2415 1.7597 5.8367
2.2415 1.7597 9.8088
2.2415 -1.7597 0.6215
2.2415 -1.7597 4.5936
2.2415 -4.9375 2.6076
2.2415 3.1960 2.6076
2.2415 -3.1960 7.8228
0.0000 0.0000 0.0000
0.0000 0.0000 5.2152
```

Principal peaks in the range 2θ from 15° to 90°, low angle first:
- 2θ 17.00, I = 27
- 2θ 29.68, I = 59
- 2θ 29.90, I = 72
- 2θ 31.13, I = 48
- 2θ 34.60, I = 100
- 2θ 40.23, I = 45
- 2θ 40.73, I = 33
- 2θ 46.23, I = 32
- 2θ 48.69, I = 43
- 2θ 50.79, I = 27


Entry 6:
Theoretical powder diffraction line list of Li5Ag2Pd4 for Cu Kα (weighted mean of Kα1 and Kα2), from a crystal structure in Alexandria, relaxed with GGA-PBE.
Intensities are scaled so that the largest is 100.

Crystal structure
```
Li5Ag2Pd4
1.0
6.7141 0.0000 0.0000
0.0000 16.1206 0.0000
0.0000 0.0000 2.9612
Li Ag Pd
10 4 8
Cartesian
0.0000 0.0000 0.0000
0.7304 6.8581 0.0000
1.3229 2.8155 0.0000
2.0341 10.8758 0.0000
2.6266 14.9184 0.0000
3.3570 8.0603 0.0000
4.0875 1.2022 0.0000
4.6800 5.2448 0.0000
5.3911 13.3051 0.0000
5.9836 9.2626 0.0000
0.1406 4.7175 1.4806
3.2164 12.7778 1.4806
3.4977 3.3428 1.4806
6.5734 11.4031 1.4806
0.6877 14.0630 1.4806
1.3624 8.8453 1.4806
1.9946 0.7850 1.4806
2.6693 6.0027 1.4806
4.0447 10.1179 1.4806
4.7194 15.3356 1.4806
5.3516 7.2753 1.4806
6.0264 2.0576 1.4806
```

Principal peaks in the range 2θ from 15° to 90°, low angle first:
- 2θ 25.78, I = 34
- 2θ 28.81, I = 60
- 2θ 30.18, I = 100
- 2θ 30.76, I = 48
- 2θ 31.42, I = 32
- 2θ 41.45, I = 33
- 2θ 42.21, I = 47
- 2θ 43.64, I = 42
- 2θ 44.13, I = 28
- 2θ 52.12, I = 28


Entry 7:
Theoretical powder diffraction line list of Dy7HgS5 for Cu Kα (weighted mean of Kα1 and Kα2), from a crystal structure in Alexandria, relaxed with GGA-PBE.
Intensities are scaled so that the largest is 100.

Crystal structure
```
Dy7HgS5
1.0
3.9317 0.0000 0.0000
0.0000 23.5076 0.0000
-1.9547 0.0000 6.4674
Dy Hg S
14 2 10
Cartesian
0.0009 5.8769 0.2963
0.0017 12.5988 1.7590
0.0017 22.6627 1.7590
0.0078 4.0665 4.1685
0.0078 7.6873 4.1685
0.0103 14.2929 5.2881
0.0103 20.9686 5.2881
1.9667 2.5391 1.1793
1.9667 9.2147 1.1793
1.9692 15.8204 2.2990
1.9692 19.4411 2.2990
1.9753 0.8449 4.7084
1.9753 10.9089 4.7084
1.9761 17.6307 6.1712
0.0039 17.6307 3.8323
1.9730 5.8769 2.6352
0.0011 15.0409 0.5697
0.0011 20.2206 0.5697
0.0055 1.6425 2.9357
0.0055 10.1113 2.9357
1.9659 0.0000 0.0000
1.9659 11.7538 0.0000
1.9715 13.3963 3.5317
1.9715 21.8651 3.5317
1.9759 3.2870 5.8978
1.9759 8.4668 5.8978
```

Principal peaks in the range 2θ from 15° to 90°, low angle first:
- 2θ 28.17, I = 40
- 2θ 28.63, I = 19
- 2θ 29.98, I = 100
- 2θ 30.43, I = 46
- 2θ 31.73, I = 95
- 2θ 32.88, I = 64
- 2θ 46.20, I = 53
- 2θ 46.33, I = 20
- 2θ 56.01, I = 19
- 2θ 56.67, I = 18


Entry 8:
Theoretical powder diffraction line list of Na3In3Pb2 for Cu Kα (weighted mean of Kα1 and Kα2), from a crystal structure in Alexandria, relaxed with GGA-PBE.
Intensities are scaled so that the largest is 100.

Crystal structure
```
Na3In3Pb2
1.0
4.3170 2.4924 3.5079
-4.3170 2.4924 3.5079
0.0000 -4.9849 3.5079
Na In Pb
3 3 2
Cartesian
-1.0927 -3.0922 3.5079
-2.1316 2.4924 3.5079
3.2243 0.5998 3.5079
-2.1184 0.0000 5.2618
1.0592 -1.8346 5.2618
1.0592 1.8346 5.2618
0.0000 0.0000 2.6741
0.0000 0.0000 7.8495
```

Principal peaks in the range 2θ from 15° to 90°, low angle first:
- 2θ 20.60, I = 70
- 2θ 29.30, I = 53
- 2θ 32.86, I = 48
- 2θ 36.06, I = 100
- 2θ 36.19, I = 31
- 2θ 47.16, I = 18
- 2θ 56.40, I = 37
- 2θ 56.50, I = 17
- 2θ 56.64, I = 18
- 2θ 60.78, I = 15